Entry 1:
Diffraction record for Dy3SiGe2Rh9. The X-ray powder pattern is theoretical, not measured: it uses a DFT-relaxed cell (PBE, Alexandria) and λ = 1.5418 Å (Cu Kα).
Kinematic intensities with the Lorentz-polarization factor, no thermal factor.

Main lines, by intensity (10° ≤ 2θ ≤ 90°):
index  d [Å]  2θ (°)  intensity
2 0 2  2.264  39.81  100
0 2 1  2.628  34.12  93
2 2 0  1.614  57.08  34
0 2 4  1.589  58.06  33
0 0 3  2.575  34.84  30
2 2 3  1.367  68.65  23
0 4 2  1.314  71.85  17
1 1 0  3.227  27.64  13

Atomic structure:
```
data_Dy3SiGe2Rh9
_cell_length_a 6.4540
_cell_length_b 6.4540
_cell_length_c 7.7244
_cell_angle_alpha 90.00
_cell_angle_beta 90.00
_cell_angle_gamma 120.00
_symmetry_space_group_name_H-M 'P -3 m 1'
_symmetry_Int_Tables_number 164
_symmetry_space_group_name_Hall '-P 3 2"'
loop_
_atom_site_label
_atom_site_fract_x
_atom_site_fract_y
_atom_site_fract_z
Dy1 0.0000 0.0000 0.0000
Dy2 0.3333 0.6667 0.6706
Si1 0.0000 0.0000 0.5000
Ge1 0.3333 0.6667 0.1767
Rh1 0.0000 0.5000 0.0000
Rh2 0.1571 0.3142 0.3271
```

Entry 2:
Diffraction record for CsTl4Ag. The X-ray powder pattern is theoretical, not measured: it uses a DFT-relaxed cell (PBE, Alexandria) and λ = 1.5418 Å (Cu Kα).
Kinematic intensities with the Lorentz-polarization factor, no thermal factor.

Main lines, by intensity (10° ≤ 2θ ≤ 90°):
index  d [Å]  2θ (°)  intensity
4 0 1  3.216  27.74  100
2 2 1  2.921  30.60  63
6 2 -1  2.520  35.62  45
5 1 -1  3.350  26.61  35
2 0 -2  2.733  32.76  32
0 2 2  2.209  40.85  29
1 3 0  2.679  33.45  26
7 3 0  1.957  46.40  21

Atomic structure:
```
data_CsTl4Ag
_cell_length_a 20.6394
_cell_length_b 8.0987
_cell_length_c 5.4668
_cell_angle_alpha 90.00
_cell_angle_beta 105.36
_cell_angle_gamma 90.00
_symmetry_space_group_name_H-M 'C 1 2/m 1'
_symmetry_Int_Tables_number 12
_symmetry_space_group_name_Hall '-C 2y'
loop_
_atom_site_label
_atom_site_fract_x
_atom_site_fract_y
_atom_site_fract_z
Cs1 0.2074 0.0000 0.2069
Tl1 0.0000 0.1845 0.0000
Tl2 0.0994 0.2498 0.5994
Tl3 0.1416 0.5000 0.1425
Ag1 0.9997 0.5000 0.2539
```

Entry 3:
Diffraction record for LiHoNiRh. The X-ray powder pattern is theoretical, not measured: it uses a DFT-relaxed cell (PBE, Alexandria) and λ = 1.5418 Å (Cu Kα).
Kinematic intensities with the Lorentz-polarization factor, no thermal factor.

Main lines, by intensity (10° ≤ 2θ ≤ 90°):
index  d [Å]  2θ (°)  intensity
2 2 0  2.251  40.05  100
1 1 1  3.677  24.21  57
4 2 2  1.300  72.75  33
3 1 1  1.920  47.35  29
4 0 0  1.592  57.93  17
3 3 1  1.461  63.70  12
4 4 0  1.126  86.44  11
5 1 1  1.226  77.96  9

Atomic structure:
```
data_LiHoNiRh
_cell_length_a 6.3680
_cell_length_b 6.3680
_cell_length_c 6.3680
_cell_angle_alpha 90.00
_cell_angle_beta 90.00
_cell_angle_gamma 90.00
_symmetry_space_group_name_H-M 'F -4 3 m'
_symmetry_Int_Tables_number 216
_symmetry_space_group_name_Hall 'F -4 2 3'
loop_
_atom_site_label
_atom_site_fract_x
_atom_site_fract_y
_atom_site_fract_z
Li1 0.0000 0.0000 0.0000
Ho1 0.0000 0.0000 0.5000
Ni1 0.2500 0.2500 0.2500
Rh1 0.2500 0.2500 0.7500
```

Entry 4:
Diffraction record for NaSiP. The X-ray powder pattern is theoretical, not measured: it uses a DFT-relaxed cell (PBE, Alexandria) and λ = 1.5418 Å (Cu Kα).
Kinematic intensities with the Lorentz-polarization factor, no thermal factor.

Main lines, by intensity (10° ≤ 2θ ≤ 90°):
index  d [Å]  2θ (°)  intensity
1 0 4  2.507  35.82  100
0 0 3  5.834  15.19  43
1 1 0  1.766  51.76  41
1 0 1  3.014  29.64  38
0 1 5  2.303  39.11  27
0 1 2  2.888  30.97  20
0 0 6  2.917  30.65  20
0 2 4  1.444  64.54  16

Atomic structure:
```
data_NaSiP
_cell_length_a 3.5326
_cell_length_b 3.5326
_cell_length_c 17.5011
_cell_angle_alpha 90.00
_cell_angle_beta 90.00
_cell_angle_gamma 120.00
_symmetry_space_group_name_H-M 'R 3 m'
_symmetry_Int_Tables_number 160
_symmetry_space_group_name_Hall 'R 3 -2"'
loop_
_atom_site_label
_atom_site_fract_x
_atom_site_fract_y
_atom_site_fract_z
Na1 0.0000 0.0000 0.0000
Si1 0.0000 0.0000 0.5284
P1 0.0000 0.0000 0.7981
```

Entry 5:
Diffraction record for CdGeF6. The X-ray powder pattern is theoretical, not measured: it uses a DFT-relaxed cell (PBE, Alexandria) and λ = 1.5418 Å (Cu Kα).
Kinematic intensities with the Lorentz-polarization factor, no thermal factor.

Main lines, by intensity (10° ≤ 2θ ≤ 90°):
index  d [Å]  2θ (°)  intensity
1 0 2  3.276  27.22  100
1 0 1  4.058  21.90  92
2 -1 4  1.760  51.95  49
1 0 3  2.606  34.41  28
1 1 0  2.584  34.72  26
3 -1 2  1.596  57.78  23
2 0 2  2.029  44.67  22
1 1 2  2.276  39.60  21

Atomic structure:
```
data_CdGeF6
_cell_length_a 5.1679
_cell_length_b 5.1679
_cell_length_c 9.6167
_cell_angle_alpha 90.00
_cell_angle_beta 90.00
_cell_angle_gamma 120.00
_symmetry_space_group_name_H-M 'P -3 1 c'
_symmetry_Int_Tables_number 163
_symmetry_space_group_name_Hall '-P 3 2c'
loop_
_atom_site_label
_atom_site_fract_x
_atom_site_fract_y
_atom_site_fract_z
Cd1 0.3333 0.6667 0.2500
Ge1 0.0000 0.0000 0.0000
F1 0.0043 0.2916 0.1101
```

Entry 6:
Diffraction record for Li3LaGa8. The X-ray powder pattern is theoretical, not measured: it uses a DFT-relaxed cell (PBE, Alexandria) and λ = 1.5418 Å (Cu Kα).
Kinematic intensities with the Lorentz-polarization factor, no thermal factor.

Main lines, by intensity (10° ≤ 2θ ≤ 90°):
index  d [Å]  2θ (°)  intensity
1 1 2  2.478  36.26  100
0 1 6  2.287  39.40  87
1 0 4  2.520  35.63  56
1 0 0  3.235  27.57  53
0 2 0  2.196  41.11  52
1 1 7  1.722  53.19  40
1 2 4  1.655  55.51  30
2 1 6  1.321  71.43  29

Atomic structure:
```
data_Li3LaGa8
_cell_length_a 3.2350
_cell_length_b 4.3910
_cell_length_c 16.0723
_cell_angle_alpha 90.00
_cell_angle_beta 90.00
_cell_angle_gamma 90.00
_symmetry_space_group_name_H-M 'P m m m'
_symmetry_Int_Tables_number 47
_symmetry_space_group_name_Hall '-P 2 2'
loop_
_atom_site_label
_atom_site_fract_x
_atom_site_fract_y
_atom_site_fract_z
Li1 0.0000 0.0000 0.0000
Li2 0.0000 0.5000 0.2345
La1 0.0000 0.0000 0.5000
Ga1 0.5000 0.0000 0.1570
Ga2 0.5000 0.0000 0.3134
Ga3 0.5000 0.5000 0.0778
Ga4 0.5000 0.5000 0.3940
```

Entry 7:
Diffraction record for Ce6InGa5. The X-ray powder pattern is theoretical, not measured: it uses a DFT-relaxed cell (PBE, Alexandria) and λ = 1.5418 Å (Cu Kα).
Kinematic intensities with the Lorentz-polarization factor, no thermal factor.

Main lines, by intensity (10° ≤ 2θ ≤ 90°):
index  d [Å]  2θ (°)  intensity
1 2 3  2.490  36.08  100
2 0 0  2.751  32.55  37
0 0 6  2.719  32.94  34
2 0 6  1.934  46.98  25
3 2 3  1.533  60.39  22
1 2 9  1.522  60.87  20
1 0 3  3.868  22.99  13
3 2 9  1.199  80.06  9

Atomic structure:
```
data_Ce6InGa5
_cell_length_a 5.5016
_cell_length_b 6.5066
_cell_length_c 16.3166
_cell_angle_alpha 90.00
_cell_angle_beta 90.00
_cell_angle_gamma 90.00
_symmetry_space_group_name_H-M 'I m m m'
_symmetry_Int_Tables_number 71
_symmetry_space_group_name_Hall '-I 2 2'
loop_
_atom_site_label
_atom_site_fract_x
_atom_site_fract_y
_atom_site_fract_z
Ce1 0.0000 0.2103 0.0000
Ce2 0.0000 0.2764 0.3264
In1 0.0000 0.0000 0.5000
Ga1 0.0000 0.0000 0.1703
Ga2 0.0000 0.5000 0.1548
Ga3 0.0000 0.5000 0.5000
```

Entry 8:
Diffraction record for Ga2S3. The X-ray powder pattern is theoretical, not measured: it uses a DFT-relaxed cell (PBE, Alexandria) and λ = 1.5418 Å (Cu Kα).
Kinematic intensities with the Lorentz-polarization factor, no thermal factor.

Main lines, by intensity (10° ≤ 2θ ≤ 90°):
index  d [Å]  2θ (°)  intensity
1 0 1  3.063  29.16  100
0 3 1  3.087  28.93  87
1 3 2  1.892  48.08  82
0 1 1  4.894  18.13  56
1 1 0  3.521  25.29  26
1 6 1  1.599  57.64  25
0 2 0  5.625  15.75  24
2 3 1  1.589  58.04  22

Atomic structure:
```
data_Ga2S3
_cell_length_a 3.7077
_cell_length_b 11.2500
_cell_length_c 5.4353
_cell_angle_alpha 90.00
_cell_angle_beta 90.00
_cell_angle_gamma 90.00
_symmetry_space_group_name_H-M 'I m m 2'
_symmetry_Int_Tables_number 44
_symmetry_space_group_name_Hall 'I 2 -2'
loop_
_atom_site_label
_atom_site_fract_x
_atom_site_fract_y
_atom_site_fract_z
Ga1 0.0000 0.1593 0.0000
S1 0.0000 0.0000 0.7584
S2 0.0000 0.3340 0.7647
```

Entry 9:
Diffraction record for TbSmAlHg. The X-ray powder pattern is theoretical, not measured: it uses a DFT-relaxed cell (PBE, Alexandria) and λ = 1.5418 Å (Cu Kα).
Kinematic intensities with the Lorentz-polarization factor, no thermal factor.

Main lines, by intensity (10° ≤ 2θ ≤ 90°):
index  d [Å]  2θ (°)  intensity
1 0 2  2.666  33.62  100
1 1 0  2.501  35.91  42
2 1 2  1.474  63.08  37
0 0 1  8.112  10.91  26
1 0 1  3.242  27.51  22
1 1 4  1.575  58.60  20
2 0 0  1.768  51.69  15
2 0 4  1.333  70.67  11

Atomic structure:
```
data_TbSmAlHg
_cell_length_a 3.5369
_cell_length_b 3.5369
_cell_length_c 8.1120
_cell_angle_alpha 90.00
_cell_angle_beta 90.00
_cell_angle_gamma 90.00
_symmetry_space_group_name_H-M 'P 4 m m'
_symmetry_Int_Tables_number 99
_symmetry_space_group_name_Hall 'P 4 -2'
loop_
_atom_site_label
_atom_site_fract_x
_atom_site_fract_y
_atom_site_fract_z
Tb1 0.0000 0.0000 0.0000
Sm1 0.0000 0.0000 0.5211
Al1 0.5000 0.5000 0.7638
Hg1 0.5000 0.5000 0.2521
```

Entry 10:
Diffraction record for Sm5Y3Tm3. The X-ray powder pattern is theoretical, not measured: it uses a DFT-relaxed cell (PBE, Alexandria) and λ = 1.5418 Å (Cu Kα).
Kinematic intensities with the Lorentz-polarization factor, no thermal factor.

Main lines, by intensity (10° ≤ 2θ ≤ 90°):
index  d [Å]  2θ (°)  intensity
2 2 1  2.175  41.53  100
3 1 0  2.690  33.31  93
3 0 0  3.232  27.60  86
2 1 1  2.513  35.72  82
1 1 1  2.939  30.41  77
0 0 1  3.453  25.80  63
2 2 0  2.799  31.97  61
2 1 0  3.665  24.28  57

Atomic structure:
```
data_Sm5Y3Tm3
_cell_length_a 11.1974
_cell_length_b 11.1974
_cell_length_c 3.4532
_cell_angle_alpha 90.00
_cell_angle_beta 90.00
_cell_angle_gamma 120.00
_symmetry_space_group_name_H-M 'P -6 2 m'
_symmetry_Int_Tables_number 189
_symmetry_space_group_name_Hall 'P -6 -2'
loop_
_atom_site_label
_atom_site_fract_x
_atom_site_fract_y
_atom_site_fract_z
Sm1 0.0000 0.6623 0.0000
Sm2 0.3333 0.6667 0.0000
Y1 0.0000 0.4045 0.5000
Tm1 0.0000 0.1585 0.0000
```